Calculated X-ray powder pattern
Compound: Pm4Cu2Ag5
Radiation: CuKα
Structure: the GGA-PBE geometry in Alexandria

Main lines, by intensity (10° ≤ 2θ ≤ 90°):
d = 2.710 Å, 33.1 deg, rel. 100.0, (1 1 2); d = 2.753 Å, 32.5 deg, rel. 47.7, (1 1 -2); d = 1.970 Å, 46.1 deg, rel. 21.3, (0 2 0); d = 2.134 Å, 42.3 deg, rel. 18.3, (3 0 2); d = 2.204 Å, 40.9 deg, rel. 14.2, (0 0 4); d = 2.195 Å, 41.1 deg, rel. 13.1, (3 0 -2); d = 2.571 Å, 34.9 deg, rel. 12.9, (2 1 1); d = 2.704 Å, 33.1 deg, rel. 12.6, (1 0 3); d = 1.448 Å, 64.4 deg, rel. 10.2, (3 2 2); d = 2.484 Å, 36.2 deg, rel. 9.7, (3 0 0)

Cell and atoms:
abc: 7.456 3.940 8.821
angles: 90.00 91.84 90.00
Positions (direct):
Pm  0.205  0.000  0.357
Pm  0.241  0.000  0.904
Pm  0.759  0.000  0.096
Pm  0.795  0.000  0.643
Cu  0.070  0.500  0.127
Cu  0.930  0.500  0.873
Ag  0.141  0.500  0.630
Ag  0.433  0.500  0.157
Ag  0.500  0.500  0.500
Ag  0.567  0.500  0.843
Ag  0.859  0.500  0.370